Structure and computed powder X-ray diffraction pattern of Pr5Tl2In2 (DFT lattice parameters and positions (GGA-PBE); Cu Kα, 1.54184 Å).
Intensities are scaled so that the largest is 1000.

Main lines, by angle (5° ≤ 2θ ≤ 70°):
| two_theta | intensity | h k l |
| --- | --- | --- |
| 29.0 | 1000 | 3 1 2 |
| 29.9 | 898 | 4 2 0 |
| 30.2 | 898 | 0 2 2 |
| 30.5 | 706 | 4 0 2 |
| 30.7 | 525 | 5 1 1 |
| 31.8 | 656 | 4 2 1 |
| 32.1 | 409 | 6 0 0 |
| 33.7 | 595 | 1 3 1 |
| 34.8 | 490 | 1 1 3 |
| 40.7 | 356 | 7 1 1 |
| 43.1 | 348 | 5 3 1 |
| 60.4 | 343 | 9 3 1 |

Structure:
```
data_Pr5Tl2In2
_space_group_name_H-M_alt 'C m c e'
_space_group_IT_number 64
_space_group_name_Hall '-C 2ac 2'
_cell_length_a 16.752
_cell_length_b 8.551
_cell_length_c 8.206
_cell_angle_alpha 90.00
_cell_angle_beta 90.00
_cell_angle_gamma 90.00
loop_
_atom_site_label
_atom_site_fract_x
_atom_site_fract_y
_atom_site_fract_z
Pr1 0.000 0.000 0.000
Pr2 0.139 0.187 0.327
Tl1 0.212 0.000 0.000
In1 0.000 0.123 0.620
```